For Zr4Ni3, a crystal structure in Alexandria, relaxed with PBE gives the simulated X-ray powder pattern in this record (Cu Kα).
No peak broadening, texture or thermal motion is included.

Peak list (6 most intense, 5 to 70 degrees two-theta, sorted by position)
| Position (°2θ) | intensity | h k l |
| --- | --- | --- |
| 29.63 | 8 | 1 0 3 |
| 33.61 | 10 | 1 0 5 |
| 38.78 | 64 | 1 1 0 |
| 38.91 | 100 | 1 0 7 |
| 52.12 | 6 | 1 0 11 |
| 56.01 | 21 | 2 0 0 |

Atomic structure:
Cell: 3.2839 3.2839 22.8380 Å, 90.00 90.00 90.00°
Space group I4/mmm (No. 139)
One atom of each set of equivalent atoms:
Zr (0.0000, 0.0000, 0.0697) (multiplicity 4)
Zr (0.0000, 0.0000, 0.3387) (multiplicity 4)
Ni (0.0000, 0.0000, 0.2203) (multiplicity 4)
Ni (0.0000, 0.0000, 0.5000) (multiplicity 2)